LiLaMn4O12: computed X-ray diffraction stick pattern (λ = 1.5418 Å (Cu Kα)), based on a structure optimized by DFT (GGA+U).
Kinematic intensities with the Lorentz-polarization factor, no thermal factor.

Largest 10 diffraction maxima, low angle first, 5 to 70 degrees two-theta:
Position (°2θ)  Rel. int.
11.5  38
17.2  62
20.7  100
26.6  30
28.9  28
33.5  47
34.2  68
34.8  77
59.9  28
62.5  32

Crystal structure
a = 7.7177 Å, b = 5.1566 Å, c = 5.1566 Å
α = 87.70°, β = 90.00°, γ = 90.00°
Sites, in units of the cell vectors:
Li (0.0000, 0.0000, 0.0000)
La (0.5000, 0.5318, 0.5318)
Mn (0.2306, 0.0085, 0.5104)
Mn (0.2306, 0.5104, 0.0085)
Mn (0.7694, 0.0085, 0.5104)
Mn (0.7694, 0.5104, 0.0085)
O (0.0000, 0.6214, 0.9603)
O (0.0000, 0.9603, 0.6214)
O (0.1736, 0.1930, 0.1930)
O (0.2395, 0.3202, 0.6937)
O (0.2395, 0.6937, 0.3202)
O (0.3082, 0.8078, 0.8078)
O (0.5000, 0.0511, 0.4408)
O (0.5000, 0.4408, 0.0511)
O (0.6918, 0.8078, 0.8078)
O (0.7605, 0.3202, 0.6937)
O (0.7605, 0.6937, 0.3202)
O (0.8264, 0.1930, 0.1930)